Diffraction record for Ho12Ge5S28. The X-ray diffraction stick pattern is computed, not measured: it uses a crystal structure in Alexandria, relaxed with PBE and Cu Kα, 1.54184 Å.
No peak broadening, texture or thermal motion is included.

Peak list (8 most intense, 2θ from 15° to 90°, by angle)
- 21.06 deg, I 30, hkl 2 2 2
- 23.73 deg, I 18, hkl 1 -2 0
- 26.01 deg, I 100, hkl 2 1 3
- 36.91 deg, I 39, hkl 4 2 2
- 37.31 deg, I 28, hkl 2 4 0
- 38.48 deg, I 18, hkl -3 1 1
- 41.55 deg, I 20, hkl 4 0 2
- 48.57 deg, I 18, hkl 2 -4 0

Crystal structure
```
data_Ho12Ge5S28
_symmetry_space_group_name_H-M 'P 1'
_symmetry_Int_Tables_number 1
_cell_length_a 9.742
_cell_length_b 11.363
_cell_length_c 11.382
_cell_angle_alpha 62.18
_cell_angle_beta 64.66
_cell_angle_gamma 64.64
loop_
_symmetry_equiv_pos_as_xyz
'x,y,z'
loop_
_atom_site_label
_atom_site_type_symbol
_atom_site_fract_x
_atom_site_fract_y
_atom_site_fract_z
Ho1 Ho 0.000 0.000 0.000
Ho2 Ho 0.002 0.467 0.514
Ho3 Ho 0.070 0.704 0.712
Ho4 Ho 0.080 0.192 0.229
Ho5 Ho 0.353 0.652 0.212
Ho6 Ho 0.355 0.173 0.670
Ho7 Ho 0.432 0.894 0.387
Ho8 Ho 0.443 0.349 0.916
Ho9 Ho 0.562 0.230 0.270
Ho10 Ho 0.584 0.740 0.745
Ho11 Ho 0.852 0.610 0.169
Ho12 Ho 0.866 0.134 0.632
Ge1 Ge 0.219 0.640 0.993
Ge2 Ge 0.549 0.510 0.466
Ge3 Ge 0.553 0.000 0.953
Ge4 Ge 0.883 0.429 0.873
Ge5 Ge 0.884 0.927 0.370
S1 S 0.062 0.162 0.729
S2 S 0.066 0.652 0.232
S3 S 0.114 0.955 0.526
S4 S 0.117 0.452 0.030
S5 S 0.122 0.438 0.721
S6 S 0.124 0.935 0.217
S7 S 0.312 0.151 0.943
S8 S 0.313 0.671 0.460
S9 S 0.317 0.822 0.948
S10 S 0.318 0.368 0.427
S11 S 0.354 0.633 0.765
S12 S 0.378 0.157 0.208
S13 S 0.466 0.479 0.058
S14 S 0.474 0.979 0.548
S15 S 0.547 0.320 0.651
S16 S 0.553 0.815 0.146
S17 S 0.637 0.469 0.266
S18 S 0.647 0.967 0.751
S19 S 0.687 0.643 0.433
S20 S 0.710 0.121 0.913
S21 S 0.735 0.460 0.750
S22 S 0.742 0.964 0.239
S23 S 0.789 0.631 0.909
S24 S 0.790 0.126 0.411
S25 S 0.877 0.246 0.067
S26 S 0.891 0.733 0.553
S27 S 0.952 0.340 0.398
S28 S 0.983 0.803 0.931
```